Record 1
HgPd15: theoretical PXRD pattern (Cu Kα, 1.54184 Å), based on a cell relaxed with GGA-PBE.
Intensities are scaled so that the largest is 100.

Peak list (10 most intense, 5° ≤ 2θ ≤ 70°, by intensity)
5.1°, rel. 100, (0 0 2); 39.9°, rel. 48, (2 1 0); 39.0°, rel. 37, (2 0 12); 45.3°, rel. 25, (0 1 12); 67.4°, rel. 15, (4 1 12); 47.1°, rel. 15, (4 0 0); 41.3°, rel. 10, (2 0 13); 47.2°, rel. 6, (0 1 13); 67.1°, rel. 5, (0 2 0); 10.2°, rel. 5, (0 0 4)

```
data_HgPd15
_cell_length_a 7.7161
_cell_length_b 2.7891
_cell_length_c 34.5439
_cell_angle_alpha 90.00
_cell_angle_beta 90.01
_cell_angle_gamma 90.00
_space_group_name_H-M_alt 'P 1 m 1'
_space_group_IT_number 6
loop_
_space_group_symop_operation_xyz
'x,y,z'
'x,-y,z'
loop_
_atom_site_label
_atom_site_type_symbol
_atom_site_fract_x
_atom_site_fract_y
_atom_site_fract_z
_atom_site_occupancy
Hg1 Hg 0.0000 0.0000 0.0000 1
Hg2 Hg 0.2497 0.5000 0.6285 1
Pd1 Pd 0.9999 0.0000 0.0885 1
Pd2 Pd 0.0000 0.0000 0.1715 1
Pd3 Pd 0.9998 0.0000 0.2532 1
Pd4 Pd 0.9995 0.0000 0.3347 1
Pd5 Pd 0.9999 0.0000 0.4164 1
Pd6 Pd 0.0024 0.0000 0.4985 1
Pd7 Pd 0.0031 0.0000 0.5818 1
Pd8 Pd 0.2472 0.5000 0.0466 1
Pd9 Pd 0.2476 0.5000 0.1299 1
Pd10 Pd 0.2501 0.5000 0.2121 1
Pd11 Pd 0.2504 0.5000 0.2938 1
Pd12 Pd 0.2501 0.5000 0.3753 1
Pd13 Pd 0.2499 0.5000 0.4570 1
Pd14 Pd 0.2500 0.5000 0.5399 1
Pd15 Pd 0.4968 0.0000 0.5817 1
Pd16 Pd 0.4977 0.0000 0.4985 1
Pd17 Pd 0.5000 0.0000 0.0085 1
Pd18 Pd 0.4999 0.0000 0.0894 1
Pd19 Pd 0.4997 0.0000 0.1707 1
Pd20 Pd 0.5000 0.0000 0.2528 1
Pd21 Pd 0.5004 0.0000 0.3346 1
Pd22 Pd 0.5001 0.0000 0.4164 1
Pd23 Pd 0.7495 0.5000 0.2939 1
Pd24 Pd 0.7497 0.5000 0.2121 1
Pd25 Pd 0.7499 0.5000 0.3758 1
Pd26 Pd 0.7502 0.5000 0.4578 1
Pd27 Pd 0.7500 0.5000 0.5390 1
Pd28 Pd 0.7499 0.5000 0.6196 1
Pd29 Pd 0.7521 0.5000 0.1300 1
Pd30 Pd 0.7527 0.5000 0.0466 1
```

=====

Record 2
Hg3Pd7: theoretical PXRD pattern (Cu Kα, 1.54184 Å), based on a cell relaxed with GGA-PBE.
Intensities are scaled so that the largest is 100.

Peak list (10 most intense, 5° ≤ 2θ ≤ 70°, by intensity)
39.3°, rel. 100, (0 2 0); 38.9°, rel. 21, (1 0 -4); 56.4°, rel. 14, (1 2 -4); 57.2°, rel. 7, (5 0 0); 25.4°, rel. 5, (2 0 -2); 22.3°, rel. 4, (1 1 0); 47.3°, rel. 2, (2 2 -2); 27.9°, rel. 2, (1 1 -2); 45.3°, rel. 1, (2 1 -4); 49.4°, rel. 1, (4 1 0)

```
data_Hg3Pd7
_cell_length_a 8.3810
_cell_length_b 4.5921
_cell_length_c 9.2638
_cell_angle_alpha 90.00
_cell_angle_beta 106.05
_cell_angle_gamma 90.00
_space_group_name_H-M_alt 'P 1 21/m 1'
_space_group_IT_number 11
loop_
_space_group_symop_operation_xyz
'x,y,z'
'-x,-y,-z'
'-x,y+1/2,-z'
'x,-y+1/2,z'
loop_
_atom_site_label
_atom_site_type_symbol
_atom_site_fract_x
_atom_site_fract_y
_atom_site_fract_z
_atom_site_occupancy
Hg1 Hg 0.0868 0.2500 0.2732 1
Hg2 Hg 0.3025 0.2500 0.0696 1
Hg3 Hg 0.3083 0.2500 0.5845 1
Pd1 Pd 0.1033 0.2500 0.7753 1
Pd2 Pd 0.1050 0.7500 0.0281 1
Pd3 Pd 0.1049 0.7500 0.5231 1
Pd4 Pd 0.2967 0.7500 0.3248 1
Pd5 Pd 0.2982 0.7500 0.8222 1
Pd6 Pd 0.4946 0.7500 0.1207 1
Pd7 Pd 0.4978 0.2500 0.3733 1
```

=====

Record 3
RbHg3Pd: theoretical PXRD pattern (Cu Kα, 1.54184 Å), based on a cell relaxed with GGA-PBE.
Intensities are scaled so that the largest is 100.

Peak list (10 most intense, 5° ≤ 2θ ≤ 70°, by intensity)
33.1°, rel. 100, (2 0 2); 28.6°, rel. 77, (0 2 1); 16.4°, rel. 42, (1 0 1); 47.4°, rel. 37, (0 2 4); 47.6°, rel. 37, (2 2 0); 56.4°, rel. 36, (4 0 1); 28.4°, rel. 26, (0 0 3); 59.2°, rel. 19, (0 4 2); 56.2°, rel. 12, (2 0 5); 69.4°, rel. 12, (4 0 4)

```
data_RbHg3Pd
_cell_length_a 7.6461
_cell_length_b 7.6461
_cell_length_c 9.4172
_cell_angle_alpha 90.00
_cell_angle_beta 90.00
_cell_angle_gamma 120.00
_space_group_name_H-M_alt 'R -3 m'
_space_group_IT_number 166
_space_group_name_Hall '-R 3 2"'
loop_
_atom_site_label
_atom_site_type_symbol
_atom_site_fract_x
_atom_site_fract_y
_atom_site_fract_z
_atom_site_occupancy
Rb1 Rb 0.0000 0.0000 0.0000 1
Hg1 Hg 0.0000 0.5000 0.0000 1
Pd1 Pd 0.0000 0.0000 0.5000 1
```

=====

Record 4
RbHg3PdSe4: theoretical PXRD pattern (Cu Kα, 1.54184 Å), based on a cell relaxed with GGA-PBE.
Intensities are scaled so that the largest is 100.

Peak list (10 most intense, 5° ≤ 2θ ≤ 70°, by intensity)
37.9°, rel. 100, (2 2 0); 23.0°, rel. 88, (1 1 1); 44.8°, rel. 45, (3 1 1); 13.2°, rel. 43, (1 0 0); 68.5°, rel. 31, (4 2 2); 26.6°, rel. 27, (2 0 0); 60.1°, rel. 17, (3 3 1); 54.7°, rel. 16, (4 0 0); 61.8°, rel. 14, (4 2 0); 49.0°, rel. 12, (3 2 0)

```
data_RbHg3PdSe4
_cell_length_a 6.7089
_cell_length_b 6.7089
_cell_length_c 6.7089
_cell_angle_alpha 90.00
_cell_angle_beta 90.00
_cell_angle_gamma 90.00
_space_group_name_H-M_alt 'P -4 3 m'
_space_group_IT_number 215
_space_group_name_Hall 'P -4 2 3'
loop_
_atom_site_label
_atom_site_type_symbol
_atom_site_fract_x
_atom_site_fract_y
_atom_site_fract_z
_atom_site_occupancy
Rb1 Rb 0.0000 0.0000 0.0000 1
Hg1 Hg 0.0000 0.5000 0.5000 1
Pd1 Pd 0.5000 0.5000 0.5000 1
Se1 Se 0.2793 0.2793 0.2793 1
```

=====

Record 5
Hg3Pd8Se9: theoretical PXRD pattern (Cu Kα, 1.54184 Å), based on a cell relaxed with GGA-PBE.
Intensities are scaled so that the largest is 100.

Peak list (10 most intense, 5° ≤ 2θ ≤ 70°, by intensity)
32.2°, rel. 100, (2 3 1); 42.7°, rel. 49, (2 6 1); 31.8°, rel. 32, (1 2 2); 50.0°, rel. 31, (4 0 0); 49.0°, rel. 26, (2 1 3); 29.9°, rel. 22, (2 2 1); 32.1°, rel. 22, (1 5 1); 31.6°, rel. 22, (0 3 2); 38.2°, rel. 21, (0 5 2); 18.2°, rel. 18, (1 0 1)

```
data_Hg3Pd8Se9
_cell_length_a 7.3037
_cell_length_b 17.0236
_cell_length_c 6.5256
_cell_angle_alpha 90.00
_cell_angle_beta 90.00
_cell_angle_gamma 90.00
_space_group_name_H-M_alt 'P m m n'
_space_group_IT_number 59
loop_
_space_group_symop_operation_xyz
'x,y,z'
'-x,-y,-z'
'-x+1/2,-y+1/2,z'
'x+1/2,y+1/2,-z'
'x+1/2,-y,-z'
'-x+1/2,y,z'
'-x,y+1/2,-z'
'x,-y+1/2,z'
loop_
_atom_site_label
_atom_site_type_symbol
_atom_site_fract_x
_atom_site_fract_y
_atom_site_fract_z
_atom_site_occupancy
Hg1 Hg 0.2500 0.0442 0.1222 1
Hg2 Hg 0.2500 0.7500 0.2944 1
Pd1 Pd 0.0114 0.1613 0.9637 1
Pd2 Pd 0.2500 0.1652 0.4003 1
Pd3 Pd 0.2500 0.5139 0.5337 1
Se1 Se 0.0088 0.7500 0.7274 1
Se2 Se 0.0147 0.0907 0.6173 1
Se3 Se 0.2500 0.2500 0.8041 1
Se4 Se 0.2500 0.5831 0.8929 1
```